1.
Starting from a crystal structure in Alexandria, relaxed with GGA-PBE, the powder diffraction line list of TbAlSi2Ni5 was computed for Cu Kα, 1.54184 Å.
No peak broadening, texture or thermal motion is included.

The 12 most intense peaks (2θ = 10–90°), in order of falling intensity:
two_theta	intensity
39.15	100
11.78	56
43.99	48
77.62	24
84.15	21
47.92	20
67.51	16
63.97	15
33.00	14
24.66	13
32.26	13
48.46	12

Atomic structure:
```
TbAlSi2Ni5
1.0
4.117 0.000 0.000
0.000 4.117 0.000
0.000 0.000 7.514
Tb Al Si Ni
1 1 2 5
direct
0.000 0.000 0.000
0.000 0.000 0.500
0.500 0.500 0.349
0.500 0.500 0.651
0.000 0.500 0.241
0.000 0.500 0.759
0.500 0.000 0.241
0.500 0.000 0.759
0.500 0.500 0.000
```

***

2.
Starting from a crystal structure in Alexandria, relaxed with GGA-PBE, the powder diffraction line list of Sm2Al8Ni was computed for Cu Kα, 1.54184 Å.
No peak broadening, texture or thermal motion is included.

The 12 most intense peaks (2θ = 10–90°), in order of falling intensity:
two_theta	intensity
38.26	100
20.78	91
31.76	54
42.28	50
33.66	40
74.63	27
29.55	26
53.83	24
23.75	22
47.55	21
59.70	20
15.77	16

Atomic structure:
```
Sm2Al8Ni
1.0
4.276 0.000 0.000
0.000 4.276 0.000
0.000 0.000 11.237
Sm Al Ni
2 8 1
direct
0.000 0.000 0.193
0.000 0.000 0.807
0.000 0.500 0.000
0.000 0.500 0.382
0.000 0.500 0.618
0.500 0.000 0.000
0.500 0.000 0.382
0.500 0.000 0.618
0.500 0.500 0.198
0.500 0.500 0.802
0.000 0.000 0.500
```

***

3.
Starting from a crystal structure in Alexandria, relaxed with GGA-PBE, the powder diffraction line list of Sm4Al23Ni6 was computed for Cu Kα, 1.54184 Å.
No peak broadening, texture or thermal motion is included.

The 12 most intense peaks (2θ = 10–90°), in order of falling intensity:
two_theta	intensity
44.01	100
36.81	70
30.12	66
35.54	66
37.28	66
22.49	59
30.85	43
35.73	42
39.67	41
26.13	33
15.66	31
39.82	28

Atomic structure:
```
Sm4Al23Ni6
1.0
8.007 -2.057 0.000
8.007 2.057 0.000
-7.184 0.000 16.822
Sm Al Ni
4 23 6
direct
0.071 0.071 0.406
0.234 0.234 0.782
0.766 0.766 0.218
0.929 0.929 0.594
0.031 0.031 0.782
0.068 0.068 0.940
0.109 0.109 0.160
0.124 0.124 0.595
0.224 0.224 0.324
0.244 0.244 0.954
0.298 0.298 0.479
0.357 0.357 0.142
0.410 0.410 0.721
0.410 0.410 0.952
0.418 0.418 0.313
0.500 0.500 0.500
0.582 0.582 0.687
0.590 0.590 0.048
0.590 0.590 0.279
0.643 0.643 0.858
0.702 0.702 0.521
0.756 0.756 0.046
0.776 0.776 0.676
0.876 0.876 0.405
0.891 0.891 0.840
0.932 0.932 0.060
0.969 0.969 0.218
0.190 0.190 0.067
0.273 0.273 0.602
0.493 0.493 0.866
0.507 0.507 0.134
0.727 0.727 0.398
0.810 0.810 0.933
```